# 1
Theoretical powder diffraction line list
Compound: Al3V5
Radiation: Cu Kα (weighted mean of Kα1 and Kα2)
Structure: a structure optimized by DFT (PBE)

Crystal structure
Lattice parameters (Å, degrees): 3.699 3.699 16.518 90.00 90.00 90.00
Space group I4/mmm (No. 139)
Symmetry-distinct sites (fractional):
Al 0.000 0.000 0.000 x2
Al 0.000 0.000 0.251 x4
V 0.000 0.000 0.500 x2
V 0.000 0.500 0.126 x8

Principal peaks in the range 15° ≤ 2θ ≤ 90°, by angle:
Position (°2θ), I_rel, h k l
40.84, 100, 1 1 4
43.85, 20, 0 0 8
49.27, 28, 2 0 0
68.05, 20, 2 0 8
78.52, 13, 1 1 12
86.47, 20, 3 1 4

# 2
Theoretical powder diffraction line list
Compound: Al3V5
Radiation: Cu Kα (weighted mean of Kα1 and Kα2)
Structure: a structure optimized by DFT (PBE)

Crystal structure
Lattice parameters (Å, degrees): 3.730 3.730 16.221 90.00 90.00 90.00
Space group I-4m2 (No. 119)
Symmetry-distinct sites (fractional):
Al 0.000 0.000 0.000 x2
Al 0.000 0.500 0.127 x4
V 0.000 0.000 0.251 x4
V 0.000 0.000 0.500 x2
V 0.000 0.500 0.626 x4

Principal peaks in the range 15° ≤ 2θ ≤ 90°, by angle:
Position (°2θ), I_rel, h k l
40.82, 100, 1 1 4
44.69, 19, 0 0 8
48.84, 29, 2 0 0
68.34, 19, 2 0 8
79.71, 12, 1 1 12
85.80, 20, 3 1 4

# 3
Theoretical powder diffraction line list
Compound: Al8V5
Radiation: Cu Kα (weighted mean of Kα1 and Kα2)
Structure: a structure optimized by DFT (PBE)

Crystal structure
Lattice parameters (Å, degrees): 9.141 13.134 7.925 90.00 124.27 90.00
Space group Cm (No. 8)
Symmetry-distinct sites (fractional):
Al 0.000 0.000 0.000 x2
Al 0.009 0.000 0.397 x2
Al 0.099 0.206 0.384 x4
Al 0.143 0.131 0.749 x4
Al 0.221 0.178 0.134 x4
Al 0.280 0.366 0.046 x4
Al 0.299 0.000 0.398 x2
Al 0.330 0.323 0.753 x4
Al 0.407 0.000 0.812 x2
Al 0.472 0.174 0.662 x4
V 0.052 0.401 0.403 x4
V 0.152 0.500 0.733 x2
V 0.161 0.500 0.203 x2
V 0.314 0.000 0.066 x2
V 0.328 0.334 0.406 x4
V 0.365 0.500 0.606 x2
V 0.481 0.170 0.044 x4

Principal peaks in the range 15° ≤ 2θ ≤ 90°, by angle:
Position (°2θ), I_rel, h k l
41.23, 82, 0 6 0
41.37, 100, 3 3 0
41.50, 21, 1 3 -3
41.65, 16, 4 0 -1
41.87, 77, 3 3 -3
75.16, 12, 1 5 4

# 4
Theoretical powder diffraction line list
Compound: Al45V7
Radiation: Cu Kα (weighted mean of Kα1 and Kα2)
Structure: a structure optimized by DFT (PBE)

Crystal structure
Lattice parameters (Å, degrees): 20.819 7.637 11.061 90.00 107.02 90.00
Space group C2/m (No. 12)
Symmetry-distinct sites (fractional):
Al 0.000 0.000 0.000 x2
Al 0.020 0.000 0.256 x4
Al 0.036 0.313 0.706 x8
Al 0.045 0.305 0.123 x8
Al 0.069 0.183 0.490 x8
Al 0.082 0.500 0.942 x4
Al 0.090 0.500 0.345 x4
Al 0.116 0.000 0.729 x4
Al 0.125 0.000 0.139 x4
Al 0.129 0.500 0.613 x4
Al 0.166 0.195 0.357 x8
Al 0.180 0.315 0.852 x8
Al 0.190 0.315 0.121 x8
Al 0.206 0.186 0.633 x8
Al 0.207 0.000 0.989 x4
Al 0.225 0.500 0.492 x4
V 0.000 0.500 0.500 x2
V 0.086 0.170 0.920 x8
V 0.249 0.000 0.261 x4

Principal peaks in the range 15° ≤ 2θ ≤ 90°, by angle:
Position (°2θ), I_rel, h k l
40.58, 58, 5 1 3
40.92, 68, 9 1 -1
41.59, 83, 5 3 -1
43.29, 75, 6 2 2
43.42, 60, 8 2 0
43.64, 100, 3 3 -3

# 5
Theoretical powder diffraction line list
Compound: Al3V7W
Radiation: Cu Kα (weighted mean of Kα1 and Kα2)
Structure: a structure optimized by DFT (PBE)

Crystal structure
Lattice parameters (Å, degrees): 2.636 18.635 13.446 90.00 90.00 90.00
Space group Cmcm (No. 63)
Symmetry-distinct sites (fractional):
Al 0.000 0.120 0.037 x8
Al 0.000 0.225 0.750 x4
V 0.000 0.261 0.078 x8
V 0.000 0.362 0.750 x4
V 0.000 0.380 0.156 x8
V 0.000 0.491 0.082 x8
W 0.000 0.010 0.250 x4

Principal peaks in the range 15° ≤ 2θ ≤ 90°, by angle:
Position (°2θ), I_rel, h k l
16.26, 89, 0 2 2
19.05, 54, 0 4 0
38.65, 72, 0 8 0
39.48, 100, 1 3 2
44.18, 80, 1 5 2
44.88, 62, 0 4 6

# 6
Theoretical powder diffraction line list
Compound: AlV4W
Radiation: Cu Kα (weighted mean of Kα1 and Kα2)
Structure: a structure optimized by DFT (PBE)

Crystal structure
Lattice parameters (Å, degrees): 4.330 9.067 4.340 90.00 90.00 90.00
Space group Cmmm (No. 65)
Symmetry-distinct sites (fractional):
Al 0.000 0.000 0.000 x2
V 0.000 0.172 0.500 x4
V 0.000 0.326 0.000 x4
W 0.000 0.500 0.500 x2

Principal peaks in the range 15° ≤ 2θ ≤ 90°, by angle:
Position (°2θ), I_rel, h k l
20.46, 22, 0 0 1
22.76, 35, 1 1 0
28.47, 21, 0 2 1
41.61, 26, 0 0 2
41.72, 26, 2 0 0
41.98, 100, 1 3 1

Copy entry 5 word for word.
Theoretical powder diffraction line list
Compound: Al3V7W
Radiation: Cu Kα (weighted mean of Kα1 and Kα2)
Structure: a structure optimized by DFT (PBE)

Crystal structure
Lattice parameters (Å, degrees): 2.636 18.635 13.446 90.00 90.00 90.00
Space group Cmcm (No. 63)
Symmetry-distinct sites (fractional):
Al 0.000 0.120 0.037 x8
Al 0.000 0.225 0.750 x4
V 0.000 0.261 0.078 x8
V 0.000 0.362 0.750 x4
V 0.000 0.380 0.156 x8
V 0.000 0.491 0.082 x8
W 0.000 0.010 0.250 x4

Principal peaks in the range 15° ≤ 2θ ≤ 90°, by angle:
Position (°2θ), I_rel, h k l
16.26, 89, 0 2 2
19.05, 54, 0 4 0
38.65, 72, 0 8 0
39.48, 100, 1 3 2
44.18, 80, 1 5 2
44.88, 62, 0 4 6